No. 1
The following is a theoretical powder diffraction line list of Ba3SmB24. It was derived from the GGA-PBE geometry in the Materials Project, using Cu Kα (λ = 1.5418 Å).

Top 6 peaks for 10 to 90 degrees two-theta, by intensity:
index	d (Å)	two_theta	intensity
1 1 0	2.996	29.82	100
1 0 0	4.237	20.97	61
2 1 0	1.895	48.01	49
1 1 4	2.446	36.74	41
2 2 4	1.412	66.16	28
2 1 4	1.730	52.93	26

Cell and atoms:
Lattice parameters (Å, degrees): 4.2355 4.2355 16.9635 90.00 90.00 90.00
Space group P4/mmm (No. 123)
One atom of each set of equivalent atoms:
Ba 0.0000 0.0000 0.0000 x1
Ba 0.0000 0.0000 0.2502 x2
Sm 0.0000 0.0000 0.5000 x1
B 0.2024 0.5000 0.3791 x8
B 0.2045 0.5000 0.1257 x8
B 0.5000 0.5000 0.0516 x2
B 0.5000 0.5000 0.2002 x2
B 0.5000 0.5000 0.3040 x2
B 0.5000 0.5000 0.4516 x2

---

No. 2
The following is a theoretical powder diffraction line list of Ba2SrB18. It was derived from the GGA-PBE geometry in the Materials Project, using Cu Kα (λ = 1.5418 Å).

Top 6 peaks for 10 to 90 degrees two-theta, by intensity:
index	d (Å)	two_theta	intensity
1 1 0	3.008	29.70	100
1 0 0	4.253	20.88	53
2 1 0	1.902	47.82	48
1 1 3	2.456	36.59	42
2 2 3	1.418	65.88	29
2 1 3	1.736	52.71	24

Cell and atoms:
Lattice parameters (Å, degrees): 4.2535 4.2535 12.7596 90.00 90.00 90.00
Space group P4/mmm (No. 123)
One atom of each set of equivalent atoms:
Ba 0.0000 0.0000 0.1671 x2
Sr 0.0000 0.0000 0.5000 x1
B 0.2041 0.5000 0.3347 x8
B 0.2046 0.5000 0.0000 x4
B 0.5000 0.5000 0.0986 x2
B 0.5000 0.5000 0.2358 x2
B 0.5000 0.5000 0.4328 x2

---

No. 3
The following is a theoretical powder diffraction line list of BaTaB. It was derived from the GGA-PBE geometry in the Materials Project, using Cu Kα (λ = 1.5418 Å).

Top 6 peaks for 10 to 90 degrees two-theta, by intensity:
index	d (Å)	two_theta	intensity
2 0 0	3.189	27.98	100
2 2 0	2.255	39.98	86
4 2 0	1.426	65.44	37
4 2 2	1.302	72.61	30
2 2 2	1.841	49.50	28
4 0 0	1.595	57.82	15

Cell and atoms:
Lattice parameters (Å, degrees): 6.3785 6.3785 6.3785 90.00 90.00 90.00
Space group F-43m (No. 216)
One atom of each set of equivalent atoms:
Ba 0.0000 0.0000 0.0000 x4
Ta 0.0000 0.0000 0.5000 x4
B 0.2500 0.2500 0.2500 x4